Rb2PrInSe4: theoretical powder diffraction line list (CuKα), based on a cell relaxed with GGA-PBE.
Intensities are scaled so that the largest is 100.

Structural model:
```
data_Rb2PrInSe4
_chemical_formula_sum 'Rb8 Pr4 In4 Se16'
_symmetry_space_group_name_H-M 'I m m a'
_symmetry_Int_Tables_number 74
_symmetry_space_group_name_Hall '-I 2b 2'
_cell_length_a 8.7841
_cell_length_b 9.0502
_cell_length_c 12.7919
_cell_angle_alpha 90.00
_cell_angle_beta 90.00
_cell_angle_gamma 90.00
loop_
_atom_site_label
_atom_site_type_symbol
_atom_site_fract_x
_atom_site_fract_y
_atom_site_fract_z
Rb1 Rb 0.0000 0.0000 0.0000
Rb2 Rb 0.2500 0.2500 0.2500
Pr1 Pr 0.0000 0.0000 0.5000
In1 In 0.2500 0.2500 0.7500
Se1 Se 0.0000 0.0439 0.7388
Se2 Se 0.2239 0.2500 0.5175
```

Top 10 peaks for 2θ from 10° to 90°, in order of falling intensity:
2θ 28.3, intensity 100.0
2θ 40.2, intensity 72.8
2θ 27.9, intensity 53.5
2θ 65.4, intensity 20.4
2θ 50.4, intensity 18.7
2θ 41.1, intensity 18.0
2θ 49.3, intensity 16.9
2θ 39.8, intensity 16.8
2θ 66.1, intensity 12.7
2θ 12.0, intensity 12.0

Rb4Pr3InSe8: theoretical powder diffraction line list (CuKα), based on a cell relaxed with GGA-PBE.
Intensities are scaled so that the largest is 100.

Structural model:
```
data_Rb4Pr3InSe8
_chemical_formula_sum 'Rb12 Pr9 In3 Se24'
_symmetry_space_group_name_H-M 'R -3 m'
_symmetry_Int_Tables_number 166
_symmetry_space_group_name_Hall '-R 3 2"'
_cell_length_a 8.7097
_cell_length_b 8.7097
_cell_length_c 24.1308
_cell_angle_alpha 90.00
_cell_angle_beta 90.00
_cell_angle_gamma 120.00
loop_
_atom_site_label
_atom_site_type_symbol
_atom_site_fract_x
_atom_site_fract_y
_atom_site_fract_z
Rb1 Rb 0.0000 0.0000 0.0000
Rb2 Rb 0.0000 0.5000 0.0000
Pr1 Pr 0.0000 0.5000 0.5000
In1 In 0.0000 0.0000 0.5000
Se1 Se 0.0000 0.0000 0.2344
Se2 Se 0.0123 0.5062 0.2329
```

Top 10 peaks for 2θ from 10° to 90°, in order of falling intensity:
2θ 27.9, intensity 100.0
2θ 41.5, intensity 36.1
2θ 38.2, intensity 34.1
2θ 11.0, intensity 20.4
2θ 50.7, intensity 18.5
2θ 67.5, intensity 15.4
2θ 62.9, intensity 10.5
2θ 57.7, intensity 10.0
2θ 73.5, intensity 9.6
2θ 35.3, intensity 9.6

Pr32In3Rh19: theoretical powder diffraction line list (CuKα), based on a cell relaxed with GGA-PBE.
Intensities are scaled so that the largest is 100.

Structural model:
```
data_Pr32In3Rh19
_chemical_formula_sum 'Pr64 In6 Rh38'
_symmetry_space_group_name_H-M 'A m m 2'
_symmetry_Int_Tables_number 38
_symmetry_space_group_name_Hall 'A 2 -2'
_cell_length_a 10.0657
_cell_length_b 16.9504
_cell_length_c 16.7392
_cell_angle_alpha 90.00
_cell_angle_beta 90.00
_cell_angle_gamma 90.00
loop_
_atom_site_label
_atom_site_type_symbol
_atom_site_fract_x
_atom_site_fract_y
_atom_site_fract_z
Pr1 Pr 0.0000 0.0000 0.0262
Pr2 Pr 0.0000 0.0000 0.3103
Pr3 Pr 0.0000 0.1414 0.6713
Pr4 Pr 0.1926 0.1054 0.4823
Pr5 Pr 0.1935 0.1857 0.2756
Pr6 Pr 0.1927 0.1891 0.0655
Pr7 Pr 0.1972 0.1067 0.8581
Pr8 Pr 0.3023 0.0000 0.6655
Pr9 Pr 0.3093 0.0000 0.1700
Pr10 Pr 0.5000 0.1040 0.3536
Pr11 Pr 0.5000 0.1136 0.0000
Pr12 Pr 0.5000 0.1758 0.5661
Pr13 Pr 0.5000 0.1950 0.7796
In1 In 0.0000 0.2501 0.4191
In2 In 0.5000 0.0000 0.8364
Rh1 Rh 0.0000 0.0000 0.5669
Rh2 Rh 0.0000 0.0000 0.7785
Rh3 Rh 0.0000 0.1035 0.1685
Rh4 Rh 0.2733 0.0000 0.3461
Rh5 Rh 0.2749 0.1759 0.6735
Rh6 Rh 0.2836 0.0000 0.9912
Rh7 Rh 0.3408 0.2468 0.4230
Rh8 Rh 0.5000 0.0000 0.5241
Rh9 Rh 0.5000 0.1488 0.1761
```

Top 10 peaks for 2θ from 10° to 90°, in order of falling intensity:
2θ 35.7, intensity 100.0
2θ 35.9, intensity 86.9
2θ 32.3, intensity 78.3
2θ 32.1, intensity 50.0
2θ 34.3, intensity 47.3
2θ 34.1, intensity 45.6
2θ 33.8, intensity 42.0
2θ 33.5, intensity 39.1
2θ 30.6, intensity 38.4
2θ 28.6, intensity 36.7

PrIn8Rh4: theoretical powder diffraction line list (CuKα), based on a cell relaxed with GGA-PBE.
Intensities are scaled so that the largest is 100.

Structural model:
```
data_PrIn8Rh4
_chemical_formula_sum 'Pr2 In16 Rh8'
_symmetry_space_group_name_H-M 'I 4/m m m'
_symmetry_Int_Tables_number 139
_symmetry_space_group_name_Hall '-I 4 2'
_cell_length_a 9.5269
_cell_length_b 9.5269
_cell_length_c 5.8241
_cell_angle_alpha 90.00
_cell_angle_beta 90.00
_cell_angle_gamma 90.00
loop_
_atom_site_label
_atom_site_type_symbol
_atom_site_fract_x
_atom_site_fract_y
_atom_site_fract_z
Pr1 Pr 0.0000 0.0000 0.0000
In1 In 0.0000 0.2217 0.5000
In2 In 0.0000 0.3360 0.0000
Rh1 Rh 0.2500 0.2500 0.2500
```

Top 10 peaks for 2θ from 10° to 90°, in order of falling intensity:
2θ 37.4, intensity 100.0
2θ 41.0, intensity 93.2
2θ 37.8, intensity 77.6
2θ 36.2, intensity 74.4
2θ 32.1, intensity 50.8
2θ 67.9, intensity 32.0
2θ 67.1, intensity 31.8
2θ 42.4, intensity 30.2
2θ 59.0, intensity 25.5
2θ 30.7, intensity 25.0

Pr3In3Rh2: theoretical powder diffraction line list (CuKα), based on a cell relaxed with GGA-PBE.
Intensities are scaled so that the largest is 100.

Structural model:
```
data_Pr3In3Rh2
_chemical_formula_sum 'Pr6 In6 Rh4'
_symmetry_space_group_name_H-M 'C 1 2/m 1'
_symmetry_Int_Tables_number 12
_symmetry_space_group_name_Hall '-C 2y'
_cell_length_a 16.7993
_cell_length_b 4.7311
_cell_length_c 5.2765
_cell_angle_alpha 90.00
_cell_angle_beta 100.49
_cell_angle_gamma 90.00
loop_
_atom_site_label
_atom_site_type_symbol
_atom_site_fract_x
_atom_site_fract_y
_atom_site_fract_z
Pr1 Pr 0.0000 0.0000 0.0000
Pr2 Pr 0.1664 0.0000 0.5891
In1 In 0.0000 0.5000 0.5000
In2 In 0.1360 0.5000 0.0689
Rh1 Rh 0.2172 0.0000 0.1208
```

Top 10 peaks for 2θ from 10° to 90°, in order of falling intensity:
2θ 32.0, intensity 100.0
2θ 35.0, intensity 58.3
2θ 38.0, intensity 52.4
2θ 28.5, intensity 39.9
2θ 33.1, intensity 31.3
2θ 34.3, intensity 30.0
2θ 32.5, intensity 26.5
2θ 34.6, intensity 20.8
2θ 64.9, intensity 19.0
2θ 52.1, intensity 17.9

Pr7InRu2: theoretical powder diffraction line list (CuKα), based on a cell relaxed with GGA-PBE.
Intensities are scaled so that the largest is 100.

Structural model:
```
data_Pr7InRu2
_chemical_formula_sum 'Pr14 In2 Ru4'
_symmetry_space_group_name_H-M 'C m m m'
_symmetry_Int_Tables_number 65
_symmetry_space_group_name_Hall '-C 2 2'
_cell_length_a 9.3240
_cell_length_b 14.0565
_cell_length_c 5.3328
_cell_angle_alpha 90.00
_cell_angle_beta 90.00
_cell_angle_gamma 90.00
loop_
_atom_site_label
_atom_site_type_symbol
_atom_site_fract_x
_atom_site_fract_y
_atom_site_fract_z
Pr1 Pr 0.0000 0.0000 0.0000
Pr2 Pr 0.0000 0.2202 0.5000
Pr3 Pr 0.1833 0.3706 0.0000
In1 In 0.0000 0.5000 0.5000
Ru1 Ru 0.0000 0.1972 0.0000
```

Top 10 peaks for 2θ from 10° to 90°, in order of falling intensity:
2θ 31.9, intensity 100.0
2θ 33.6, intensity 94.3
2θ 34.0, intensity 87.6
2θ 16.6, intensity 82.6
2θ 30.5, intensity 68.5
2θ 47.0, intensity 67.6
2θ 27.1, intensity 64.8
2θ 34.6, intensity 50.8
2θ 25.4, intensity 41.9
2θ 29.4, intensity 41.0

Pr3In2Ru: theoretical powder diffraction line list (CuKα), based on a cell relaxed with GGA-PBE.
Intensities are scaled so that the largest is 100.

Structural model:
```
data_Pr3In2Ru
_chemical_formula_sum 'Pr12 In8 Ru4'
_symmetry_space_group_name_H-M 'C 1 2/c 1'
_symmetry_Int_Tables_number 15
_symmetry_space_group_name_Hall '-C 2yc'
_cell_length_a 10.8303
_cell_length_b 8.9078
_cell_length_c 8.0543
_cell_angle_alpha 90.00
_cell_angle_beta 110.74
_cell_angle_gamma 90.00
loop_
_atom_site_label
_atom_site_type_symbol
_atom_site_fract_x
_atom_site_fract_y
_atom_site_fract_z
Pr1 Pr 0.0000 0.1039 0.2500
Pr2 Pr 0.1529 0.4243 0.9617
In1 In 0.2100 0.2230 0.6503
Ru1 Ru 0.0000 0.2050 0.7500
```

Top 10 peaks for 2θ from 10° to 90°, in order of falling intensity:
2θ 34.8, intensity 100.0
2θ 26.5, intensity 84.8
2θ 29.8, intensity 83.8
2θ 28.3, intensity 75.3
2θ 35.0, intensity 56.1
2θ 35.1, intensity 39.7
2θ 31.4, intensity 39.4
2θ 34.3, intensity 38.1
2θ 52.4, intensity 36.2
2θ 23.9, intensity 36.0

Pr4InRu2: theoretical powder diffraction line list (CuKα), based on a cell relaxed with GGA-PBE.
Intensities are scaled so that the largest is 100.

Structural model:
```
data_Pr4InRu2
_chemical_formula_sum 'Pr12 In3 Ru6'
_symmetry_space_group_name_H-M 'R -3 m'
_symmetry_Int_Tables_number 166
_symmetry_space_group_name_Hall '-R 3 2"'
_cell_length_a 4.8315
_cell_length_b 4.8315
_cell_length_c 29.8028
_cell_angle_alpha 90.00
_cell_angle_beta 90.00
_cell_angle_gamma 120.00
loop_
_atom_site_label
_atom_site_type_symbol
_atom_site_fract_x
_atom_site_fract_y
_atom_site_fract_z
Pr1 Pr 0.0000 0.0000 0.1098
Pr2 Pr 0.0000 0.0000 0.2965
In1 In 0.0000 0.0000 0.5000
Ru1 Ru 0.0000 0.0000 0.4049
```

Top 10 peaks for 2θ from 10° to 90°, in order of falling intensity:
2θ 37.2, intensity 100.0
2θ 37.0, intensity 86.5
2θ 26.0, intensity 69.6
2θ 67.0, intensity 29.9
2θ 53.5, intensity 29.7
2θ 67.1, intensity 17.4
2θ 29.9, intensity 16.7
2θ 46.0, intensity 15.0
2θ 24.4, intensity 13.4
2θ 60.6, intensity 13.2

Pr4In2Ru: theoretical powder diffraction line list (CuKα), based on a cell relaxed with GGA-PBE.
Intensities are scaled so that the largest is 100.

Structural model:
```
data_Pr4In2Ru
_chemical_formula_sum 'Pr4 In2 Ru1'
_symmetry_space_group_name_H-M 'P 1 2/m 1'
_symmetry_Int_Tables_number 10
_symmetry_space_group_name_Hall '-P 2y'
_cell_length_a 6.9541
_cell_length_b 3.5854
_cell_length_c 9.3024
_cell_angle_alpha 90.00
_cell_angle_beta 109.19
_cell_angle_gamma 90.00
loop_
_atom_site_label
_atom_site_type_symbol
_atom_site_fract_x
_atom_site_fract_y
_atom_site_fract_z
Pr1 Pr 0.1030 0.0000 0.2407
Pr2 Pr 0.3345 0.5000 0.6474
In1 In 0.2872 0.5000 0.9999
Ru1 Ru 0.0000 0.0000 0.5000
```

Top 10 peaks for 2θ from 10° to 90°, in order of falling intensity:
2θ 28.4, intensity 100.0
2θ 31.7, intensity 64.2
2θ 32.1, intensity 62.9
2θ 39.7, intensity 61.5
2θ 29.0, intensity 58.4
2θ 32.3, intensity 55.0
2θ 37.1, intensity 48.8
2θ 33.7, intensity 46.3
2θ 50.0, intensity 42.9
2θ 37.8, intensity 36.2

Which formula does entry 3 have?
Pr32In3Rh19